(1)
# Sr3Al2Ga9
Calculated X-ray diffraction stick pattern, λ = 1.5418 Å (Cu Kα). Input: a DFT-relaxed cell (PBE, Alexandria).

Largest 10 diffraction maxima, in order of rising 2θ, 2θ = 10–80°:
- hkl 1 0 3, 28.58°, I 17
- hkl 0 2 4, 31.99°, I 19
- hkl 1 3 0, 32.87°, I 49
- hkl 1 2 3, 33.47°, I 100
- hkl 1 3 2, 35.63°, I 16
- hkl 0 0 6, 40.76°, I 26
- hkl 2 0 0, 40.93°, I 54
- hkl 0 5 3, 48.39°, I 13
- hkl 2 0 6, 59.15°, I 17
- hkl 1 6 3, 61.20°, I 14

Structure:
Cell lengths 4.4078, 10.3898, 13.2825 Å; angles 90.00, 90.00, 90.00 degrees
Space group Immm (No. 71)
Asymmetric unit:
1 Sr 0.0000 0.0000 0.0000 [2 per cell]
2 Sr 0.0000 0.0000 0.3149 [4 per cell]
3 Al 0.0000 0.2182 0.5000 [4 per cell]
4 Ga 0.0000 0.2738 0.1444 [8 per cell]
5 Ga 0.0000 0.3712 0.3367 [8 per cell]
6 Ga 0.0000 0.5000 0.0000 [2 per cell]

***

(2)
# BaYBO4
Calculated X-ray diffraction stick pattern, λ = 1.5418 Å (Cu Kα). Input: a DFT-relaxed cell (PBE, Alexandria).

Largest 10 diffraction maxima, in order of rising 2θ, 2θ = 10–80°:
- hkl 1 1 0, 24.84°, I 100
- hkl 1 0 1, 26.16°, I 34
- hkl 0 1 2, 30.98°, I 33
- hkl 1 1 -2, 31.24°, I 41
- hkl 0 2 0, 33.01°, I 37
- hkl 1 0 2, 37.26°, I 18
- hkl 2 0 -2, 37.93°, I 25
- hkl 0 2 2, 42.59°, I 27
- hkl 1 2 -2, 42.78°, I 19
- hkl 2 2 0, 50.93°, I 18

Structure:
Cell lengths 5.0805, 5.4272, 7.2511 Å; angles 90.00, 109.91, 90.00 degrees
Space group P2_1/m (No. 11)
Asymmetric unit:
1 Ba 0.1923 0.2500 0.4174 [2 per cell]
2 Y 0.2835 0.2500 0.9638 [2 per cell]
3 B 0.2935 0.7500 0.1827 [2 per cell]
4 O 0.1138 0.7500 0.3085 [2 per cell]
5 O 0.1228 0.7500 0.9671 [2 per cell]
6 O 0.4816 0.5265 0.2192 [4 per cell]